Calculated powder diffraction line list of Nd2Fe14Si3 for Cu Kα, from the PBE geometry in the Materials Project.
Kinematic intensities with the Lorentz-polarization factor, no thermal factor.

Peak list (10 most intense, 10 to 90 degrees two-theta, sorted by position)
d (Å)	2θ/deg	I (rel.)	h k l
2.979	30.00	38	1 1 -2
2.950	30.30	27	2 2 -1
2.426	37.06	36	1 3 1
2.397	37.53	17	4 0 0
2.370	37.97	27	2 2 -2
2.131	42.43	85	4 0 1
2.126	42.53	37	0 0 3
2.097	43.15	100	1 3 -2
2.085	43.39	92	4 0 -2
1.488	62.40	17	2 2 -4

Crystal structure
```
data_Nd2Fe14Si3
_chemical_formula_sum 'Nd4 Fe28 Si6'
_cell_length_a 9.715
_cell_length_b 8.346
_cell_length_c 6.463
_cell_angle_alpha 90.00
_cell_angle_beta 99.33
_cell_angle_gamma 90.00
_space_group_name_H-M_alt 'C 1 2/m 1'
_space_group_IT_number 12
loop_
_space_group_symop_operation_xyz
'x,y,z'
'-x,-y,-z'
'-x,y,-z'
'x,-y,z'
'x+1/2,y+1/2,z'
'-x+1/2,-y+1/2,-z'
'-x+1/2,y+1/2,-z'
'x+1/2,-y+1/2,z'
loop_
_atom_site_label
_atom_site_fract_x
_atom_site_fract_y
_atom_site_fract_z
Nd1 0.152 0.000 0.342
Fe1 0.000 0.221 0.000
Fe2 0.092 0.258 0.666
Fe3 0.147 0.355 0.296
Fe4 0.157 0.000 0.838
Fe5 0.250 0.250 0.000
Si1 0.000 0.500 0.500
Si2 0.111 0.500 0.926
```